# 1
Computed powder diffractogram
Compound: KTlMoI6
Radiation: Cu Kα, 1.54184 Å
Structure: a DFT-relaxed cell (GGA-PBE, Alexandria)
Kinematic intensities with the Lorentz-polarization factor, no thermal factor.

Peak list (10 most intense, 10 to 80 degrees two-theta, sorted by position)
Position (°2θ), I/Imax
12.37, 31
12.58, 25
17.68, 26
25.22, 100
33.38, 58
34.31, 18
36.04, 15
38.39, 32
44.03, 26
51.76, 14

a = 8.1220 Å, b = 8.1220 Å, c = 14.3123 Å
α = 90.00°, β = 90.00°, γ = 120.00°
Space group P-31c (No. 163)
Symmetry-distinct sites (fractional):
K  0.0000  0.0000  0.0000 [2 per cell]
Tl  0.3333  0.6667  0.2500 [2 per cell]
Mo  0.3333  0.6667  0.7500 [2 per cell]
I  0.0508  0.3901  0.6372 [12 per cell]

# 2
Computed powder diffractogram
Compound: K2I3N
Radiation: Cu Kα, 1.54184 Å
Structure: a DFT-relaxed cell (GGA-PBE, Alexandria)
Kinematic intensities with the Lorentz-polarization factor, no thermal factor.

Peak list (10 most intense, 10 to 80 degrees two-theta, sorted by position)
Position (°2θ), I/Imax
17.08, 26
22.04, 39
22.69, 29
23.72, 69
26.73, 78
28.31, 100
28.94, 50
34.91, 23
44.00, 24
48.19, 22

a = 15.680 Å, b = 6.670 Å, c = 9.565 Å
α = 90.00°, β = 91.58°, γ = 90.00°
Space group C2/m (No. 12)
Symmetry-distinct sites (fractional):
K  0.012  0.000  0.248 [4 per cell]
K  0.180  0.500  0.709 [4 per cell]
I  0.124  0.500  0.181 [4 per cell]
I  0.154  0.000  0.529 [4 per cell]
I  0.167  0.000  0.981 [4 per cell]
N  0.006  0.500  0.243 [4 per cell]

# 3
Computed powder diffractogram
Compound: KIN2
Radiation: Cu Kα, 1.54184 Å
Structure: a DFT-relaxed cell (GGA-PBE, Alexandria)
Kinematic intensities with the Lorentz-polarization factor, no thermal factor.

Peak list (10 most intense, 10 to 80 degrees two-theta, sorted by position)
Position (°2θ), I/Imax
12.38, 100
20.48, 39
24.90, 35
25.69, 36
26.28, 34
26.54, 17
28.52, 18
28.71, 17
32.22, 17
37.21, 20

a = 4.897 Å, b = 4.919 Å, c = 7.324 Å
α = 81.54°, β = 80.88°, γ = 89.91°
Space group P1 (No. 1)
Symmetry-distinct sites (fractional):
K  0.000  0.000  0.000 [1 per cell]
I  0.500  0.500  0.998 [1 per cell]
N  0.006  0.973  0.426 [1 per cell]
N  0.025  0.989  0.574 [1 per cell]

# 4
Computed powder diffractogram
Compound: KNa2NpI6
Radiation: Cu Kα, 1.54184 Å
Structure: a DFT-relaxed cell (GGA-PBE, Alexandria)
Kinematic intensities with the Lorentz-polarization factor, no thermal factor.

Peak list (10 most intense, 10 to 80 degrees two-theta, sorted by position)
Position (°2θ), I/Imax
13.08, 35
14.72, 28
20.00, 12
24.71, 100
32.15, 54
38.08, 36
41.96, 26
45.92, 14
50.67, 12
62.78, 14

a = 8.1869 Å, b = 8.1869 Å, c = 22.7849 Å
α = 90.00°, β = 90.00°, γ = 120.00°
Space group R3 (No. 146, hexagonal axes)
Symmetry-distinct sites (fractional):
K  0.0000  0.0000  0.0000 [3 per cell]
Na  0.0000  0.0000  0.2984 [3 per cell]
Na  0.0000  0.0000  0.8097 [3 per cell]
Np  0.0000  0.0000  0.4863 [3 per cell]
I  0.0057  0.3487  0.2270 [9 per cell]
I  0.0203  0.6270  0.0655 [9 per cell]

# 5
Computed powder diffractogram
Compound: K2Na2IO6
Radiation: Cu Kα, 1.54184 Å
Structure: a DFT-relaxed cell (GGA-PBE, Alexandria)
Kinematic intensities with the Lorentz-polarization factor, no thermal factor.

Peak list (10 most intense, 10 to 80 degrees two-theta, sorted by position)
Position (°2θ), I/Imax
14.63, 53
18.01, 100
19.29, 23
23.27, 58
29.34, 18
29.51, 19
31.47, 21
32.22, 24
34.47, 35
37.31, 57

a = 6.110 Å, b = 9.856 Å, c = 6.507 Å
α = 90.00°, β = 111.50°, γ = 90.00°
Space group C2/m (No. 12)
Symmetry-distinct sites (fractional):
K  0.000  0.185  0.000 [4 per cell]
Na  0.000  0.343  0.500 [4 per cell]
I  0.000  0.000  0.500 [2 per cell]
O  0.191  0.000  0.325 [4 per cell]
O  0.196  0.138  0.683 [8 per cell]

# 6
Computed powder diffractogram
Compound: K2NaPbI5
Radiation: Cu Kα, 1.54184 Å
Structure: a DFT-relaxed cell (GGA-PBE, Alexandria)
Kinematic intensities with the Lorentz-polarization factor, no thermal factor.

Peak list (10 most intense, 10 to 80 degrees two-theta, sorted by position)
Position (°2θ), I/Imax
10.98, 27
13.96, 21
25.20, 100
26.59, 28
28.30, 20
30.66, 19
33.14, 18
33.74, 18
37.34, 24
42.46, 20

a = 4.817 Å, b = 20.561 Å, c = 16.117 Å
α = 90.00°, β = 90.00°, γ = 90.00°
Space group Cmc2_1 (No. 36)
Symmetry-distinct sites (fractional):
K  0.000  0.085  0.000 [4 per cell]
K  0.000  0.125  0.646 [4 per cell]
Na  0.000  0.447  0.791 [4 per cell]
Pb  0.000  0.229  0.376 [4 per cell]
I  0.000  0.075  0.406 [4 per cell]
I  0.000  0.260  0.018 [4 per cell]
I  0.000  0.291  0.742 [4 per cell]
I  0.000  0.384  0.337 [4 per cell]
I  0.000  0.498  0.617 [4 per cell]